Computed powder XRD pattern of AlGa3Ni3 for Cu Kα, from a DFT-relaxed cell (PBE, Alexandria).
No peak broadening, texture or thermal motion is included.

Principal peaks in the range 2θ from 15° to 90°, low angle first:
2θ (°)	intensity
21.75	42.0
44.35	100.0
44.56	98.6
64.68	30.6
81.64	15.3
81.79	30.4

Atomic structure:
a = 5.000 Å, b = 5.000 Å, c = 5.000 Å
α = 109.59°, β = 109.59°, γ = 109.59°
Atoms (fractional coordinates):
Al: 0.000 0.000 0.000
Ga: 0.000 0.500 0.500
Ga: 0.500 0.000 0.500
Ga: 0.500 0.500 0.000
Ni: 0.000 0.000 0.500
Ni: 0.000 0.500 0.000
Ni: 0.500 0.000 0.000